This entry pairs a crystal structure of KHoBiTe3 with its simulated powder X-ray diffraction pattern. Radiation: Cu Ka. Structure: DFT lattice parameters and positions (GGA-PBE).

The 10 most intense peaks (2θ from 15° to 90°), by intensity:
2θ/deg  intensity
29.76  1000
26.69  543
30.11  472
36.68  460
40.86  239
51.58  209
46.29  199
53.24  181
57.87  179
31.95  176

Crystal structure
```
data_KHoBiTe3
_chemical_formula_sum 'K4 Ho4 Bi4 Te12'
_cell_length_a 4.417
_cell_length_b 16.957
_cell_length_c 11.872
_cell_angle_alpha 90.00
_cell_angle_beta 90.00
_cell_angle_gamma 90.00
_symmetry_space_group_name_H-M 'C m c m'
_symmetry_Int_Tables_number 63
_symmetry_space_group_name_Hall '-C 2c 2'
loop_
_atom_site_label
_atom_site_fract_x
_atom_site_fract_y
_atom_site_fract_z
K1 0.000 0.237 0.250
Ho1 0.000 0.000 0.000
Bi1 0.000 0.459 0.750
Te1 0.000 0.093 0.750
Te2 0.000 0.371 0.527
```

This entry pairs a crystal structure of Ho3Lu3Bi2Os with its simulated powder X-ray diffraction pattern. Radiation: Cu Ka. Structure: DFT lattice parameters and positions (GGA-PBE).

The 10 most intense peaks (2θ from 15° to 90°), by intensity:
2θ/deg  intensity
30.45  1000
33.01  746
39.82  570
37.96  525
33.34  432
60.93  315
58.76  300
43.09  277
55.55  204
63.97  165

Crystal structure
```
data_Ho3Lu3Bi2Os
_chemical_formula_sum 'Ho3 Lu3 Bi2 Os1'
_cell_length_a 8.2109
_cell_length_b 8.2109
_cell_length_c 4.1984
_cell_angle_alpha 90.00
_cell_angle_beta 90.00
_cell_angle_gamma 120.00
_symmetry_space_group_name_H-M 'P -6 2 m'
_symmetry_Int_Tables_number 189
_symmetry_space_group_name_Hall 'P -6 -2'
loop_
_atom_site_label
_atom_site_fract_x
_atom_site_fract_y
_atom_site_fract_z
Ho1 0.0000 0.2366 0.0000
Lu1 0.0000 0.6192 0.5000
Bi1 0.3333 0.6667 0.0000
Os1 0.0000 0.0000 0.5000
```

This entry pairs a crystal structure of Ho3Lu3BiSbOs with its simulated powder X-ray diffraction pattern. Radiation: Cu Ka. Structure: DFT lattice parameters and positions (GGA-PBE).

The 10 most intense peaks (2θ from 15° to 90°), by intensity:
2θ/deg  intensity
30.60  1000
33.20  847
40.12  630
33.71  564
38.39  432
61.55  333
43.00  301
55.73  272
59.00  249
76.88  230

Crystal structure
```
data_Ho3Lu3BiSbOs
_chemical_formula_sum 'Ho3 Lu3 Bi1 Sb1 Os1'
_cell_length_a 8.1217
_cell_length_b 8.1217
_cell_length_c 4.2069
_cell_angle_alpha 90.00
_cell_angle_beta 90.00
_cell_angle_gamma 120.00
_symmetry_space_group_name_H-M 'P -6'
_symmetry_Int_Tables_number 174
loop_
_symmetry_equiv_pos_as_xyz
'x,y,z'
'-x+y,-x,-z'
'-y,x-y,z'
'x,y,-z'
'-x+y,-x,z'
'-y,x-y,-z'
loop_
_atom_site_label
_atom_site_fract_x
_atom_site_fract_y
_atom_site_fract_z
Ho1 0.0067 0.6154 0.0000
Lu1 0.0013 0.2323 0.5000
Bi1 0.6667 0.3333 0.5000
Sb1 0.3333 0.6667 0.5000
Os1 0.0000 0.0000 0.0000
```